(1)
For Tl4RhAu, the GGA-PBE geometry in Alexandria gives the computed powder diffraction line list in this record (Cu Kα (λ = 1.5418 Å)).

Top 12 peaks for 2θ from 5° to 70°, in order of rising 2θ:
3.294 Å, intensity 21.2; 3.063 Å, intensity 32.4; 2.832 Å, intensity 35.5; 2.820 Å, intensity 21.2; 2.762 Å, intensity 100.0; 2.533 Å, intensity 53.0; 2.451 Å, intensity 27.1; 2.405 Å, intensity 36.8; 2.385 Å, intensity 19.9; 2.303 Å, intensity 31.9; 2.256 Å, intensity 21.9; 2.226 Å, intensity 23.8

Atomic structure:
```
data_Tl4RhAu
_chemical_formula_sum 'Tl8 Rh2 Au2'
_cell_length_a 7.6005
_cell_length_b 7.6005
_cell_length_c 5.9235
_cell_angle_alpha 95.10
_cell_angle_beta 95.10
_cell_angle_gamma 115.87
_symmetry_space_group_name_H-M 'P 1'
_symmetry_Int_Tables_number 1
loop_
_symmetry_equiv_pos_as_xyz
'x,y,z'
loop_
_atom_site_label
_atom_site_type_symbol
_atom_site_fract_x
_atom_site_fract_y
_atom_site_fract_z
Tl1 Tl 0.0706 0.7187 0.9645
Tl2 Tl 0.2298 0.3739 0.5934
Tl3 Tl 0.2813 0.9294 0.5355
Tl4 Tl 0.3739 0.2298 0.0934
Tl5 Tl 0.6261 0.7702 0.9066
Tl6 Tl 0.7187 0.0706 0.4645
Tl7 Tl 0.7702 0.6261 0.4066
Tl8 Tl 0.9294 0.2813 0.0355
Rh1 Rh 0.0020 0.9980 0.2500
Rh2 Rh 0.9980 0.0020 0.7500
Au1 Au 0.3632 0.6368 0.2500
Au2 Au 0.6368 0.3632 0.7500
```

---

(2)
For V4Rh7Au, the GGA-PBE geometry in Alexandria gives the computed powder diffraction line list in this record (Cu Kα (λ = 1.5418 Å)).

Top 12 peaks for 2θ from 5° to 70°, in order of rising 2θ:
3.694 Å, intensity 21.3; 2.580 Å, intensity 44.0; 2.506 Å, intensity 28.9; 2.392 Å, intensity 100.0; 2.385 Å, intensity 47.6; 2.353 Å, intensity 20.4; 2.154 Å, intensity 48.8; 2.131 Å, intensity 22.7; 1.863 Å, intensity 19.0; 1.754 Å, intensity 28.6; 1.689 Å, intensity 32.2; 1.591 Å, intensity 17.6

Atomic structure:
```
data_V4Rh7Au
_chemical_formula_sum 'V4 Rh7 Au1'
_cell_length_a 5.8135
_cell_length_b 5.8135
_cell_length_c 8.5874
_cell_angle_alpha 117.67
_cell_angle_beta 117.67
_cell_angle_gamma 48.60
_symmetry_space_group_name_H-M 'P 1'
_symmetry_Int_Tables_number 1
loop_
_symmetry_equiv_pos_as_xyz
'x,y,z'
loop_
_atom_site_label
_atom_site_type_symbol
_atom_site_fract_x
_atom_site_fract_y
_atom_site_fract_z
V1 V 0.0750 0.0750 0.2732
V2 V 0.2260 0.2260 0.8237
V3 V 0.7740 0.7740 0.1763
V4 V 0.9250 0.9250 0.7268
Rh1 Rh 0.0000 0.0000 0.5000
Rh2 Rh 0.1502 0.1502 0.0713
Rh3 Rh 0.2868 0.2868 0.5996
Rh4 Rh 0.4260 0.4260 0.1359
Rh5 Rh 0.5740 0.5740 0.8641
Rh6 Rh 0.7132 0.7132 0.4004
Rh7 Rh 0.8498 0.8498 0.9287
Au1 Au 0.5000 0.5000 0.5000
```

---

(3)
For Y3RhAu, the GGA-PBE geometry in Alexandria gives the computed powder diffraction line list in this record (Cu Kα (λ = 1.5418 Å)).

Top 12 peaks for 2θ from 5° to 70°, in order of rising 2θ:
5.370 Å, intensity 38.6; 4.939 Å, intensity 35.7; 2.978 Å, intensity 34.2; 2.712 Å, intensity 60.0; 2.685 Å, intensity 88.2; 2.568 Å, intensity 100.0; 2.495 Å, intensity 35.5; 2.489 Å, intensity 42.3; 2.354 Å, intensity 32.9; 2.277 Å, intensity 59.8; 2.144 Å, intensity 26.7; 2.117 Å, intensity 33.9

Atomic structure:
```
data_Y3RhAu
_chemical_formula_sum 'Y12 Rh4 Au4'
_cell_length_a 8.8207
_cell_length_b 7.2561
_cell_length_c 8.2516
_cell_angle_alpha 90.00
_cell_angle_beta 104.61
_cell_angle_gamma 90.00
_symmetry_space_group_name_H-M 'P 1'
_symmetry_Int_Tables_number 1
loop_
_symmetry_equiv_pos_as_xyz
'x,y,z'
loop_
_atom_site_label
_atom_site_type_symbol
_atom_site_fract_x
_atom_site_fract_y
_atom_site_fract_z
Y1 Y 0.0440 0.0041 0.2146
Y2 Y 0.0440 0.4959 0.7146
Y3 Y 0.2747 0.6479 0.1005
Y4 Y 0.2747 0.8521 0.6005
Y5 Y 0.3473 0.1806 0.9832
Y6 Y 0.3473 0.3194 0.4832
Y7 Y 0.6527 0.6806 0.5168
Y8 Y 0.6527 0.8194 0.0168
Y9 Y 0.7253 0.1479 0.3995
Y10 Y 0.7253 0.3521 0.8995
Y11 Y 0.9560 0.5041 0.2854
Y12 Y 0.9560 0.9959 0.7854
Rh1 Rh 0.0633 0.1871 0.5210
Rh2 Rh 0.0633 0.3129 0.0210
Rh3 Rh 0.9367 0.6871 0.9790
Rh4 Rh 0.9367 0.8129 0.4790
Au1 Au 0.4152 0.5412 0.8106
Au2 Au 0.4152 0.9588 0.3106
Au3 Au 0.5848 0.0412 0.6894
Au4 Au 0.5848 0.4588 0.1894
```

---

(4)
For Zn7RhAu3, the GGA-PBE geometry in Alexandria gives the computed powder diffraction line list in this record (Cu Kα (λ = 1.5418 Å)).

Top 12 peaks for 2θ from 5° to 70°, in order of rising 2θ:
5.066 Å, intensity 25.2; 3.607 Å, intensity 26.8; 3.587 Å, intensity 26.5; 2.436 Å, intensity 15.1; 2.275 Å, intensity 100.0; 2.243 Å, intensity 26.2; 2.201 Å, intensity 73.1; 2.091 Å, intensity 60.1; 1.914 Å, intensity 21.8; 1.432 Å, intensity 19.3; 1.427 Å, intensity 17.9; 1.412 Å, intensity 19.9

Atomic structure:
```
data_Zn7RhAu3
_chemical_formula_sum 'Zn14 Rh2 Au6'
_cell_length_a 10.8559
_cell_length_b 10.8559
_cell_length_c 11.4839
_cell_angle_alpha 90.00
_cell_angle_beta 90.00
_cell_angle_gamma 164.90
_symmetry_space_group_name_H-M 'P 1'
_symmetry_Int_Tables_number 1
loop_
_symmetry_equiv_pos_as_xyz
'x,y,z'
loop_
_atom_site_label
_atom_site_type_symbol
_atom_site_fract_x
_atom_site_fract_y
_atom_site_fract_z
Zn1 Zn 0.0181 0.9819 0.6260
Zn2 Zn 0.0181 0.9819 0.8740
Zn3 Zn 0.1309 0.8691 0.2500
Zn4 Zn 0.1546 0.8454 0.6014
Zn5 Zn 0.1546 0.8454 0.8986
Zn6 Zn 0.2890 0.7110 0.5738
Zn7 Zn 0.2890 0.7110 0.9262
Zn8 Zn 0.7110 0.2890 0.0738
Zn9 Zn 0.7110 0.2890 0.4262
Zn10 Zn 0.8454 0.1546 0.1014
Zn11 Zn 0.8454 0.1546 0.3986
Zn12 Zn 0.8691 0.1309 0.7500
Zn13 Zn 0.9819 0.0181 0.1260
Zn14 Zn 0.9819 0.0181 0.3740
Rh1 Rh 0.4072 0.5928 0.2500
Rh2 Rh 0.5928 0.4072 0.7500
Au1 Au 0.2635 0.7365 0.2500
Au2 Au 0.4159 0.5841 0.5645
Au3 Au 0.4159 0.5841 0.9355
Au4 Au 0.5841 0.4159 0.0645
Au5 Au 0.5841 0.4159 0.4355
Au6 Au 0.7365 0.2635 0.7500
```